(1)
Calculated PXRD pattern
Compound: K3ZrSc2O6
Radiation: Cu Kα X-rays
Structure: DFT lattice parameters and positions (PBE)
No peak broadening, texture or thermal motion is included.

Top 8 peaks for 10 to 90 degrees two-theta, low angle first:
d = 6.190 Å, 2θ = 14.3°, I = 28
d = 3.095 Å, 2θ = 28.8°, I = 26
d = 2.708 Å, 2θ = 33.1°, I = 40
d = 2.417 Å, 2θ = 37.2°, I = 100
d = 1.795 Å, 2θ = 50.9°, I = 29
d = 1.634 Å, 2θ = 56.3°, I = 28
d = 1.553 Å, 2θ = 59.5°, I = 13
d = 1.445 Å, 2θ = 64.5°, I = 15

Crystal structure
```
12
Lattice="2.830 -4.903 0.000 2.830 4.903 0.000 -1.888 0.000 6.190" Properties=species:S:1:pos:R:3 pbc="T T T"
K 0.000 0.000 0.000
K 2.830 1.642 0.000
K 2.830 -1.642 0.000
Zr 1.886 0.000 3.095
Sc 1.886 3.269 3.095
Sc 1.886 -3.269 3.095
O 0.945 1.631 1.976
O 0.003 0.000 4.216
O 0.945 -1.631 1.976
O 2.828 1.631 4.214
O 3.770 0.000 1.974
O 2.828 -1.631 4.214
```

(2)
Calculated PXRD pattern
Compound: K2SeO4
Radiation: Cu Kα X-rays
Structure: DFT lattice parameters and positions (PBE)
No peak broadening, texture or thermal motion is included.

Top 8 peaks for 10 to 90 degrees two-theta, low angle first:
d = 5.128 Å, 2θ = 17.3°, I = 100
d = 3.149 Å, 2θ = 28.3°, I = 22
d = 3.136 Å, 2θ = 28.5°, I = 71
d = 2.683 Å, 2θ = 33.4°, I = 18
d = 2.227 Å, 2θ = 40.5°, I = 13
d = 2.035 Å, 2θ = 44.5°, I = 12
d = 1.815 Å, 2θ = 50.3°, I = 21
d = 1.808 Å, 2θ = 50.5°, I = 14

Crystal structure
```
7
Lattice="-3.149 3.149 4.417 3.149 -3.149 4.417 3.149 3.149 -4.417" Properties=species:S:1:pos:R:3 pbc="T T T"
K 3.149 0.000 2.209
K 0.000 3.149 2.209
Se 0.000 0.000 0.000
O 2.173 -2.173 3.461
O 0.976 0.976 0.957
O -2.173 2.173 3.461
O 2.173 2.173 5.374
```

(3)
Calculated PXRD pattern
Compound: K9Se3O2
Radiation: Cu Kα X-rays
Structure: DFT lattice parameters and positions (PBE)
No peak broadening, texture or thermal motion is included.

Top 8 peaks for 10 to 90 degrees two-theta, low angle first:
d = 3.262 Å, 2θ = 27.3°, I = 20
d = 2.814 Å, 2θ = 31.8°, I = 100
d = 2.782 Å, 2θ = 32.2°, I = 20
d = 2.117 Å, 2θ = 42.7°, I = 17
d = 1.883 Å, 2θ = 48.3°, I = 19
d = 1.612 Å, 2θ = 57.1°, I = 16
d = 1.565 Å, 2θ = 59.0°, I = 13
d = 1.559 Å, 2θ = 59.3°, I = 16

Crystal structure
```
28
Lattice="6.523 3.766 5.563 -6.523 3.766 5.563 0.000 -7.532 5.563" Properties=species:S:1:pos:R:3 pbc="T T T"
K -5.389 1.686 7.057
K -1.066 -1.846 4.173
K -4.155 -3.824 9.634
K -2.369 -0.058 6.852
K -1.066 1.846 4.173
K 1.235 -5.510 7.057
K -1.134 -2.080 9.838
K 2.131 0.000 4.173
K 1.235 -2.022 6.852
K -1.235 2.022 9.838
K -2.131 0.000 12.518
K 1.134 2.080 6.852
K -1.235 5.510 9.634
K 1.066 -1.846 12.518
K 2.369 0.058 9.838
K 4.155 3.824 7.057
K 1.066 1.846 12.518
K 5.389 -1.686 9.634
Se -2.059 -3.766 6.954
Se -4.291 -0.100 9.736
Se -2.232 3.666 6.954
Se 2.232 -3.666 9.736
Se 4.291 0.100 6.954
Se 2.059 3.766 9.736
O 0.000 0.000 2.572
O 0.000 0.000 5.774
O 0.000 0.000 10.917
O 0.000 0.000 14.119
```

(4)
Calculated PXRD pattern
Compound: K8SeO2
Radiation: Cu Kα X-rays
Structure: DFT lattice parameters and positions (PBE)
No peak broadening, texture or thermal motion is included.

Top 8 peaks for 10 to 90 degrees two-theta, low angle first:
d = 7.075 Å, 2θ = 12.5°, I = 23
d = 5.112 Å, 2θ = 17.3°, I = 22
d = 4.144 Å, 2θ = 21.4°, I = 29
d = 3.537 Å, 2θ = 25.2°, I = 34
d = 2.556 Å, 2θ = 35.1°, I = 100
d = 2.501 Å, 2θ = 35.9°, I = 53
d = 1.769 Å, 2θ = 51.7°, I = 16
d = 1.454 Å, 2θ = 64.0°, I = 29

Crystal structure
```
11
Lattice="7.075 0.000 0.000 0.000 7.075 0.000 0.000 0.000 7.396" Properties=species:S:1:pos:R:3 pbc="T T T"
K 1.768 1.768 1.610
K 1.768 1.768 5.785
K 1.768 5.307 1.610
K 1.768 5.307 5.785
K 5.307 1.768 1.610
K 5.307 1.768 5.785
K 5.307 5.307 1.610
K 5.307 5.307 5.785
Se 0.000 0.000 3.698
O 0.000 3.537 0.000
O 3.537 0.000 0.000
```

(5)
Calculated PXRD pattern
Compound: K9SeO3
Radiation: Cu Kα X-rays
Structure: DFT lattice parameters and positions (PBE)
No peak broadening, texture or thermal motion is included.

Top 8 peaks for 10 to 90 degrees two-theta, low angle first:
d = 4.210 Å, 2θ = 21.1°, I = 27
d = 3.585 Å, 2θ = 24.8°, I = 26
d = 3.298 Å, 2θ = 27.0°, I = 100
d = 3.183 Å, 2θ = 28.0°, I = 24
d = 2.654 Å, 2θ = 33.8°, I = 32
d = 2.481 Å, 2θ = 36.2°, I = 15
d = 2.431 Å, 2θ = 37.0°, I = 55
d = 1.792 Å, 2θ = 50.9°, I = 39

Crystal structure
```
13
Lattice="9.723 0.000 0.000 -4.862 8.420 0.000 0.000 0.000 5.307" Properties=species:S:1:pos:R:3 pbc="T T T"
K -2.431 4.210 0.000
K 0.000 3.222 2.654
K -2.072 6.810 2.654
K 2.790 1.611 2.654
K 4.862 0.000 0.000
K 2.431 4.210 0.000
K 2.072 6.810 2.654
K 6.933 1.611 2.654
K 4.862 5.199 2.654
Se 0.000 0.000 0.000
O -2.431 4.210 2.654
O 4.862 0.000 2.654
O 2.431 4.210 2.654
```

(6)
Calculated PXRD pattern
Compound: K3SrSe2O6
Radiation: Cu Kα X-rays
Structure: DFT lattice parameters and positions (PBE)
No peak broadening, texture or thermal motion is included.

Top 8 peaks for 10 to 90 degrees two-theta, low angle first:
d = 4.253 Å, 2θ = 20.9°, I = 55
d = 3.048 Å, 2θ = 29.3°, I = 100
d = 2.968 Å, 2θ = 30.1°, I = 98
d = 2.127 Å, 2θ = 42.5°, I = 60
d = 1.760 Å, 2θ = 52.0°, I = 18
d = 1.744 Å, 2θ = 52.5°, I = 34
d = 1.524 Å, 2θ = 60.8°, I = 19
d = 1.356 Å, 2θ = 69.3°, I = 17

Crystal structure
```
12
Lattice="6.097 0.000 0.000 -3.048 5.280 0.000 0.000 0.000 7.178" Properties=species:S:1:pos:R:3 pbc="T T T"
K 0.000 0.000 0.000
K 0.000 3.520 4.756
K 3.048 1.760 2.422
Sr 0.000 0.000 3.589
Se 0.000 3.520 1.265
Se 3.048 1.760 5.913
O 0.000 1.969 2.102
O -1.343 4.295 2.102
O 1.706 0.985 5.075
O 1.343 4.295 2.102
O 4.391 0.985 5.075
O 3.048 3.310 5.075
```

(7)
Calculated PXRD pattern
Compound: KThSeO5
Radiation: Cu Kα X-rays
Structure: DFT lattice parameters and positions (PBE)
No peak broadening, texture or thermal motion is included.

Top 8 peaks for 10 to 90 degrees two-theta, low angle first:
d = 5.740 Å, 2θ = 15.4°, I = 100
d = 3.899 Å, 2θ = 22.8°, I = 96
d = 3.522 Å, 2θ = 25.3°, I = 59
d = 3.013 Å, 2θ = 29.7°, I = 49
d = 2.992 Å, 2θ = 29.9°, I = 67
d = 2.854 Å, 2θ = 31.3°, I = 32
d = 2.733 Å, 2θ = 32.8°, I = 24
d = 2.508 Å, 2θ = 35.8°, I = 25

Crystal structure
```
16
Lattice="3.954 -4.958 0.000 3.954 4.958 0.000 -3.872 0.000 7.587" Properties=species:S:1:pos:R:3 pbc="T T T"
K 1.050 3.235 5.690
K 2.986 -3.235 1.897
Th 3.954 0.000 0.000
Th 2.018 0.000 3.793
Se 2.986 3.061 1.897
Se 1.050 -3.061 5.690
O -2.030 0.784 6.690
O 1.711 2.262 3.039
O -0.094 -0.784 2.897
O 4.261 2.262 0.754
O 1.050 0.518 5.690
O 2.986 -0.518 1.897
O -0.225 -2.262 6.832
O 4.129 0.784 4.689
O 2.325 -2.262 4.547
O 6.065 -0.784 0.896
```

(8)
Calculated PXRD pattern
Compound: K2TlSeO
Radiation: Cu Kα X-rays
Structure: DFT lattice parameters and positions (PBE)
No peak broadening, texture or thermal motion is included.

Top 8 peaks for 10 to 90 degrees two-theta, low angle first:
d = 5.321 Å, 2θ = 16.7°, I = 33
d = 4.667 Å, 2θ = 19.0°, I = 20
d = 3.763 Å, 2θ = 23.6°, I = 36
d = 2.929 Å, 2θ = 30.5°, I = 100
d = 2.661 Å, 2θ = 33.7°, I = 46
d = 1.881 Å, 2θ = 48.4°, I = 16
d = 1.754 Å, 2θ = 52.1°, I = 26
d = 1.583 Å, 2θ = 58.3°, I = 31

Crystal structure
```
5
Lattice="5.321 0.000 0.000 0.000 5.321 0.000 0.000 0.000 4.667" Properties=species:S:1:pos:R:3 pbc="T T T"
K 0.000 2.661 0.000
K 2.661 0.000 0.000
Tl 0.000 0.000 2.333
Se 2.661 2.661 2.333
O 0.000 0.000 0.000
```

(9)
Calculated PXRD pattern
Compound: K2TmSe2O6
Radiation: Cu Kα X-rays
Structure: DFT lattice parameters and positions (PBE)
No peak broadening, texture or thermal motion is included.

Top 8 peaks for 10 to 90 degrees two-theta, low angle first:
d = 6.653 Å, 2θ = 13.3°, I = 28
d = 4.495 Å, 2θ = 19.7°, I = 37
d = 4.316 Å, 2θ = 20.6°, I = 26
d = 3.138 Å, 2θ = 28.4°, I = 25
d = 3.092 Å, 2θ = 28.9°, I = 100
d = 2.757 Å, 2θ = 32.5°, I = 53
d = 2.203 Å, 2θ = 41.0°, I = 22
d = 1.786 Å, 2θ = 51.1°, I = 25

Crystal structure
```
11
Lattice="4.632 -3.094 0.000 4.632 3.094 0.000 -2.594 0.000 6.653" Properties=species:S:1:pos:R:3 pbc="T T T"
K 1.479 0.000 0.940
K 5.192 0.000 5.713
Tm -1.297 0.000 3.326
Se 1.954 0.000 5.052
Se 4.717 0.000 1.601
O 3.765 1.578 1.711
O 0.934 0.000 3.653
O 2.906 1.578 4.942
O 3.765 -1.578 1.711
O 5.737 0.000 3.000
O 2.906 -1.578 4.942
```